No. 1
The following is a simulated PXRD pattern of Li4Bi3. It was derived from a cell relaxed with GGA-PBE, using Cu Kα (λ = 1.5418 Å).

```
data_Li4Bi3
_cell_length_a 7.9853
_cell_length_b 7.9853
_cell_length_c 7.9853
_cell_angle_alpha 113.67
_cell_angle_beta 113.67
_cell_angle_gamma 113.67
_space_group_name_H-M_alt 'P 1'
_space_group_IT_number 1
loop_
_space_group_symop_operation_xyz
'x,y,z'
loop_
_atom_site_label
_atom_site_type_symbol
_atom_site_fract_x
_atom_site_fract_y
_atom_site_fract_z
Li1 Li 0.0000 0.0000 0.0000
Li2 Li 0.0701 0.6161 0.7637
Li3 Li 0.2363 0.9299 0.3839
Li4 Li 0.3839 0.2363 0.9299
Li5 Li 0.5000 0.5000 0.5000
Li6 Li 0.6161 0.7637 0.0701
Li7 Li 0.7637 0.0701 0.6161
Li8 Li 0.9299 0.3839 0.2363
Bi1 Bi 0.1373 0.2632 0.5424
Bi2 Bi 0.2632 0.5424 0.1373
Bi3 Bi 0.4576 0.8627 0.7368
Bi4 Bi 0.5424 0.1373 0.2632
Bi5 Bi 0.7368 0.4576 0.8627
Bi6 Bi 0.8627 0.7368 0.4576
```

Top 10 peaks for 10° ≤ 2θ ≤ 90°, in order of rising 2θ:
d/Å	2theta	I/Imax
4.211	21.10	9
3.859	23.04	9
3.563	24.99	100
2.527	35.53	45
2.513	35.73	43
2.061	43.93	23
1.782	51.28	18
1.597	57.73	18
1.590	58.00	18
1.456	63.94	14

***

No. 2
The following is a simulated PXRD pattern of Li2Bi3. It was derived from a cell relaxed with GGA-PBE, using Cu Kα (λ = 1.5418 Å).

```
data_Li2Bi3
_cell_length_a 6.5033
_cell_length_b 6.5033
_cell_length_c 11.5743
_cell_angle_alpha 90.00
_cell_angle_beta 90.00
_cell_angle_gamma 120.00
_space_group_name_H-M_alt 'P 1'
_space_group_IT_number 1
loop_
_space_group_symop_operation_xyz
'x,y,z'
loop_
_atom_site_label
_atom_site_type_symbol
_atom_site_fract_x
_atom_site_fract_y
_atom_site_fract_z
Li1 Li 0.0000 0.0000 0.1260
Li2 Li 0.0000 0.0000 0.8740
Li3 Li 0.3333 0.6667 0.5407
Li4 Li 0.3333 0.6667 0.7927
Li5 Li 0.6667 0.3333 0.2073
Li6 Li 0.6667 0.3333 0.4593
Bi1 Bi 0.0000 0.5000 0.0000
Bi2 Bi 0.1667 0.3333 0.3333
Bi3 Bi 0.1667 0.8333 0.3333
Bi4 Bi 0.3333 0.1667 0.6667
Bi5 Bi 0.5000 0.0000 0.0000
Bi6 Bi 0.5000 0.5000 0.0000
Bi7 Bi 0.6667 0.8333 0.3333
Bi8 Bi 0.8333 0.1667 0.6667
Bi9 Bi 0.8333 0.6667 0.6667
```

Top 10 peaks for 10° ≤ 2θ ≤ 90°, in order of rising 2θ:
d/Å	2theta	I/Imax
5.064	17.51	45
4.036	22.02	29
3.858	23.05	75
2.736	32.73	100
2.532	35.45	79
2.018	44.92	40
1.788	51.08	28
1.626	56.61	22
1.498	61.94	32
1.243	76.65	18

***

No. 3
The following is a simulated PXRD pattern of Li4Bi. It was derived from a cell relaxed with GGA-PBE, using Cu Kα (λ = 1.5418 Å).

```
data_Li4Bi
_cell_length_a 4.7204
_cell_length_b 4.7307
_cell_length_c 5.5800
_cell_angle_alpha 66.20
_cell_angle_beta 65.88
_cell_angle_gamma 60.42
_space_group_name_H-M_alt 'P 1'
_space_group_IT_number 1
loop_
_space_group_symop_operation_xyz
'x,y,z'
loop_
_atom_site_label
_atom_site_type_symbol
_atom_site_fract_x
_atom_site_fract_y
_atom_site_fract_z
Li1 Li 0.1040 0.1034 0.1887
Li2 Li 0.2962 0.2982 0.6104
Li3 Li 0.7038 0.7018 0.3896
Li4 Li 0.8960 0.8966 0.8113
Bi1 Bi 0.5000 0.5000 0.0000
```

Top 10 peaks for 10° ≤ 2θ ≤ 90°, in order of rising 2θ:
d/Å	2theta	I/Imax
4.925	18.01	100
3.979	22.34	60
3.960	22.45	60
3.915	22.71	58
3.605	24.70	47
3.576	24.90	93
2.770	32.32	25
2.380	37.80	41
2.362	38.09	40
2.148	42.07	25

***

No. 4
The following is a simulated PXRD pattern of Li2Bi3. It was derived from a cell relaxed with GGA-PBE, using Cu Kα (λ = 1.5418 Å).

```
data_Li2Bi3
_cell_length_a 6.5239
_cell_length_b 6.5239
_cell_length_c 6.5239
_cell_angle_alpha 77.51
_cell_angle_beta 77.51
_cell_angle_gamma 77.51
_space_group_name_H-M_alt 'P 1'
_space_group_IT_number 1
loop_
_space_group_symop_operation_xyz
'x,y,z'
loop_
_atom_site_label
_atom_site_type_symbol
_atom_site_fract_x
_atom_site_fract_y
_atom_site_fract_z
Li1 Li 0.1168 0.1168 0.1168
Li2 Li 0.3832 0.3832 0.3832
Li3 Li 0.6168 0.6168 0.6168
Li4 Li 0.8832 0.8832 0.8832
Bi1 Bi 0.0529 0.7500 0.4471
Bi2 Bi 0.2500 0.5529 0.9471
Bi3 Bi 0.4471 0.0529 0.7500
Bi4 Bi 0.5529 0.9471 0.2500
Bi5 Bi 0.7500 0.4471 0.0529
Bi6 Bi 0.9471 0.2500 0.5529
```

Top 10 peaks for 10° ≤ 2θ ≤ 90°, in order of rising 2θ:
d/Å	2theta	I/Imax
4.084	21.76	32
3.027	29.51	100
2.623	34.19	8
2.358	38.17	30
2.254	40.00	11
1.973	45.99	10
1.860	48.97	20
1.629	56.48	20
1.460	63.73	15
1.410	66.28	11

***

No. 5
The following is a simulated PXRD pattern of LiMg14Bi. It was derived from a cell relaxed with GGA-PBE, using Cu Kα (λ = 1.5418 Å).

```
data_LiMg14Bi
_cell_length_a 10.4053
_cell_length_b 6.4710
_cell_length_c 6.4710
_cell_angle_alpha 58.29
_cell_angle_beta 90.00
_cell_angle_gamma 90.00
_space_group_name_H-M_alt 'P 1'
_space_group_IT_number 1
loop_
_space_group_symop_operation_xyz
'x,y,z'
loop_
_atom_site_label
_atom_site_type_symbol
_atom_site_fract_x
_atom_site_fract_y
_atom_site_fract_z
Li1 Li 0.0000 0.0000 0.0000
Mg1 Mg 0.0000 0.9995 0.4969
Mg2 Mg 0.0000 0.4969 0.9995
Mg3 Mg 0.2479 0.1640 0.1640
Mg4 Mg 0.2512 0.1596 0.6675
Mg5 Mg 0.2512 0.6675 0.1596
Mg6 Mg 0.2522 0.6690 0.6690
Mg7 Mg 0.5000 0.0031 0.0031
Mg8 Mg 0.5000 0.0040 0.5024
Mg9 Mg 0.5000 0.5024 0.0040
Mg10 Mg 0.5000 0.5035 0.5035
Mg11 Mg 0.7478 0.6690 0.6690
Mg12 Mg 0.7488 0.1596 0.6675
Mg13 Mg 0.7488 0.6675 0.1596
Mg14 Mg 0.7521 0.1640 0.1640
Bi1 Bi 0.0000 0.4989 0.4989
```

Top 10 peaks for 10° ≤ 2θ ≤ 90°, in order of rising 2θ:
d/Å	2theta	I/Imax
5.505	16.10	58
4.966	17.86	29
4.866	18.23	91
3.781	23.53	53
3.088	28.91	31
2.934	30.46	28
2.750	32.56	52
2.601	34.48	40
2.483	36.17	55
2.433	36.95	100

***

No. 6
The following is a simulated PXRD pattern of LiMg14Bi. It was derived from a cell relaxed with GGA-PBE, using Cu Kα (λ = 1.5418 Å).

```
data_LiMg14Bi
_cell_length_a 6.4309
_cell_length_b 6.4309
_cell_length_c 10.3660
_cell_angle_alpha 90.00
_cell_angle_beta 90.00
_cell_angle_gamma 120.00
_space_group_name_H-M_alt 'P 1'
_space_group_IT_number 1
loop_
_space_group_symop_operation_xyz
'x,y,z'
loop_
_atom_site_label
_atom_site_type_symbol
_atom_site_fract_x
_atom_site_fract_y
_atom_site_fract_z
Li1 Li 0.0000 0.0000 0.0000
Mg1 Mg 0.1685 0.3370 0.2452
Mg2 Mg 0.1685 0.3370 0.7548
Mg3 Mg 0.1685 0.8315 0.2452
Mg4 Mg 0.1685 0.8315 0.7548
Mg5 Mg 0.5004 0.0008 0.5000
Mg6 Mg 0.5004 0.4996 0.5000
Mg7 Mg 0.5010 0.0019 0.0000
Mg8 Mg 0.5010 0.4990 0.0000
Mg9 Mg 0.6630 0.8315 0.2452
Mg10 Mg 0.6630 0.8315 0.7548
Mg11 Mg 0.6667 0.3333 0.2517
Mg12 Mg 0.6667 0.3333 0.7483
Mg13 Mg 0.9981 0.4990 0.0000
Mg14 Mg 0.9992 0.4996 0.5000
Bi1 Bi 0.0000 0.0000 0.5000
```

Top 10 peaks for 10° ≤ 2θ ≤ 90°, in order of rising 2θ:
d/Å	2theta	I/Imax
5.569	15.91	35
4.906	18.08	89
3.794	23.45	32
3.071	29.08	30
2.936	30.44	27
2.785	32.14	29
2.689	33.32	21
2.592	34.61	25
2.453	36.63	100
2.352	38.26	22

***

No. 7
The following is a simulated PXRD pattern of Li2Mg3Bi3. It was derived from a cell relaxed with GGA-PBE, using Cu Kα (λ = 1.5418 Å).

```
data_Li2Mg3Bi3
_cell_length_a 8.7146
_cell_length_b 8.7146
_cell_length_c 6.4231
_cell_angle_alpha 90.00
_cell_angle_beta 90.00
_cell_angle_gamma 120.00
_space_group_name_H-M_alt 'P 1'
_space_group_IT_number 1
loop_
_space_group_symop_operation_xyz
'x,y,z'
loop_
_atom_site_label
_atom_site_type_symbol
_atom_site_fract_x
_atom_site_fract_y
_atom_site_fract_z
Li1 Li 0.3333 0.6667 0.0000
Li2 Li 0.3333 0.6667 0.5000
Li3 Li 0.6667 0.3333 0.0000
Li4 Li 0.6667 0.3333 0.5000
Mg1 Mg 0.0000 0.2991 0.2500
Mg2 Mg 0.0000 0.7009 0.7500
Mg3 Mg 0.2991 0.0000 0.2500
Mg4 Mg 0.2991 0.2991 0.7500
Mg5 Mg 0.7009 0.0000 0.7500
Mg6 Mg 0.7009 0.7009 0.2500
Bi1 Bi 0.0000 0.3591 0.7500
Bi2 Bi 0.0000 0.6409 0.2500
Bi3 Bi 0.3591 0.0000 0.7500
Bi4 Bi 0.3591 0.3591 0.2500
Bi5 Bi 0.6409 0.0000 0.2500
Bi6 Bi 0.6409 0.6409 0.7500
```

Top 10 peaks for 10° ≤ 2θ ≤ 90°, in order of rising 2θ:
d/Å	2theta	I/Imax
4.357	20.38	41
3.606	24.69	100
3.212	27.78	28
2.585	34.70	25
2.516	35.69	40
2.063	43.88	20
1.980	45.82	38
1.922	47.31	19
1.595	57.79	15
1.354	69.44	12

***

No. 8
The following is a simulated PXRD pattern of Li3Mg2Bi2. It was derived from a cell relaxed with GGA-PBE, using Cu Kα (λ = 1.5418 Å).

```
data_Li3Mg2Bi2
_cell_length_a 5.0137
_cell_length_b 3.3802
_cell_length_c 10.0572
_cell_angle_alpha 90.00
_cell_angle_beta 102.96
_cell_angle_gamma 90.00
_space_group_name_H-M_alt 'P 1'
_space_group_IT_number 1
loop_
_space_group_symop_operation_xyz
'x,y,z'
loop_
_atom_site_label
_atom_site_type_symbol
_atom_site_fract_x
_atom_site_fract_y
_atom_site_fract_z
Li1 Li 0.0000 0.0000 0.0000
Li2 Li 0.2751 0.0000 0.5557
Li3 Li 0.7249 0.0000 0.4443
Mg1 Mg 0.4299 0.0000 0.8490
Mg2 Mg 0.5701 0.0000 0.1510
Bi1 Bi 0.1401 0.5000 0.2881
Bi2 Bi 0.8599 0.5000 0.7119
```

Top 10 peaks for 10° ≤ 2θ ≤ 90°, in order of rising 2θ:
d/Å	2theta	I/Imax
4.897	18.12	100
4.027	22.07	47
3.929	22.63	46
3.380	26.37	27
2.781	32.18	62
2.769	32.33	23
2.589	34.65	31
2.562	35.02	33
2.506	35.83	24
2.472	36.35	23

***

No. 9
The following is a simulated PXRD pattern of LiMg6Bi. It was derived from a cell relaxed with GGA-PBE, using Cu Kα (λ = 1.5418 Å).

```
data_LiMg6Bi
_cell_length_a 5.0699
_cell_length_b 6.5650
_cell_length_c 11.1948
_cell_angle_alpha 90.00
_cell_angle_beta 90.00
_cell_angle_gamma 90.00
_space_group_name_H-M_alt 'P 1'
_space_group_IT_number 1
loop_
_space_group_symop_operation_xyz
'x,y,z'
loop_
_atom_site_label
_atom_site_type_symbol
_atom_site_fract_x
_atom_site_fract_y
_atom_site_fract_z
Li1 Li 0.0000 0.0000 0.0000
Li2 Li 0.0000 0.5000 0.5000
Mg1 Mg 0.0000 0.0000 0.4985
Mg2 Mg 0.0000 0.2376 0.7569
Mg3 Mg 0.0000 0.2624 0.2569
Mg4 Mg 0.0000 0.5000 0.9985
Mg5 Mg 0.0000 0.7376 0.2569
Mg6 Mg 0.0000 0.7624 0.7569
Mg7 Mg 0.5000 0.0000 0.6663
Mg8 Mg 0.5000 0.2462 0.9195
Mg9 Mg 0.5000 0.2538 0.4195
Mg10 Mg 0.5000 0.5000 0.1663
Mg11 Mg 0.5000 0.7462 0.4195
Mg12 Mg 0.5000 0.7538 0.9195
Bi1 Bi 0.5000 0.0000 0.1648
Bi2 Bi 0.5000 0.5000 0.6648
```

Top 10 peaks for 10° ≤ 2θ ≤ 90°, in order of rising 2θ:
d/Å	2theta	I/Imax
5.663	15.65	91
5.597	15.83	56
5.070	17.49	53
3.777	23.55	100
3.758	23.68	40
3.244	27.49	37
2.832	31.60	43
2.472	36.34	96
2.450	36.68	50
1.888	48.19	35

***

No. 10
The following is a simulated PXRD pattern of LiMgBi2. It was derived from a cell relaxed with GGA-PBE, using Cu Kα (λ = 1.5418 Å).

```
data_LiMgBi2
_cell_length_a 4.3272
_cell_length_b 6.1712
_cell_length_c 8.8089
_cell_angle_alpha 101.39
_cell_angle_beta 102.84
_cell_angle_gamma 90.46
_space_group_name_H-M_alt 'P 1'
_space_group_IT_number 1
loop_
_space_group_symop_operation_xyz
'x,y,z'
loop_
_atom_site_label
_atom_site_type_symbol
_atom_site_fract_x
_atom_site_fract_y
_atom_site_fract_z
Li1 Li 0.1984 0.1207 0.3886
Li2 Li 0.8016 0.8793 0.6114
Mg1 Mg 0.4023 0.6335 0.8284
Mg2 Mg 0.5977 0.3665 0.1716
Bi1 Bi 0.1971 0.6245 0.3834
Bi2 Bi 0.4010 0.1306 0.8335
Bi3 Bi 0.5990 0.8694 0.1665
Bi4 Bi 0.8029 0.3755 0.6166
```

Top 10 peaks for 10° ≤ 2θ ≤ 90°, in order of rising 2θ:
d/Å	2theta	I/Imax
4.490	19.77	100
3.509	25.38	24
3.187	28.00	35
3.120	28.61	28
2.767	32.35	23
2.732	32.79	34
2.685	33.37	35
2.626	34.14	30
2.393	37.59	26
2.245	40.17	21

***

No. 11
The following is a simulated PXRD pattern of Li9Mg4Bi11. It was derived from a cell relaxed with GGA-PBE, using Cu Kα (λ = 1.5418 Å).

```
data_Li9Mg4Bi11
_cell_length_a 3.4170
_cell_length_b 14.3595
_cell_length_c 14.3702
_cell_angle_alpha 117.80
_cell_angle_beta 92.47
_cell_angle_gamma 92.44
_space_group_name_H-M_alt 'P 1'
_space_group_IT_number 1
loop_
_space_group_symop_operation_xyz
'x,y,z'
loop_
_atom_site_label
_atom_site_type_symbol
_atom_site_fract_x
_atom_site_fract_y
_atom_site_fract_z
Li1 Li 0.0000 0.0000 0.0000
Li2 Li 0.0005 0.6173 0.1024
Li3 Li 0.0025 0.1032 0.6176
Li4 Li 0.0354 0.7155 0.5880
Li5 Li 0.0372 0.5876 0.7149
Li6 Li 0.9628 0.4124 0.2851
Li7 Li 0.9646 0.2845 0.4120
Li8 Li 0.9975 0.8968 0.3824
Li9 Li 0.9995 0.3827 0.8976
Mg1 Mg 0.0421 0.2403 0.0276
Mg2 Mg 0.0426 0.0270 0.2396
Mg3 Mg 0.9574 0.9730 0.7604
Mg4 Mg 0.9579 0.7597 0.9724
Bi1 Bi 0.2916 0.8239 0.8240
Bi2 Bi 0.4788 0.4503 0.1183
Bi3 Bi 0.4796 0.1172 0.4494
Bi4 Bi 0.4991 0.6370 0.3641
Bi5 Bi 0.4998 0.1757 0.8248
Bi6 Bi 0.5000 0.5000 0.5000
Bi7 Bi 0.5002 0.8243 0.1752
Bi8 Bi 0.5009 0.3630 0.6359
Bi9 Bi 0.5204 0.8828 0.5506
Bi10 Bi 0.5212 0.5497 0.8817
Bi11 Bi 0.7084 0.1761 0.1761
```

Top 10 peaks for 10° ≤ 2θ ≤ 90°, in order of rising 2θ:
d/Å	2theta	I/Imax
4.225	21.03	73
4.100	21.68	100
3.697	24.07	38
3.405	26.17	57
2.784	32.15	20
2.747	32.60	57
2.619	34.24	70
2.407	37.36	47
2.390	37.63	48
2.077	43.57	23